[1]
Structure and computed powder X-ray diffraction pattern of AcPr6Ho12 (a structure optimized by DFT (PBE); Cu Ka).

Structure:
```
AcPr6Ho12
1.0
6.7065 3.8720 4.2216
-6.7065 3.8720 4.2216
0.0000 -7.7440 4.2216
Ac Pr Ho
1 6 12
direct
0.0000 0.0000 0.0000 Ac
0.1029 0.1029 0.6512 Pr
0.1029 0.6512 0.1029 Pr
0.3488 0.8971 0.8971 Pr
0.6512 0.1029 0.1029 Pr
0.8971 0.3488 0.8971 Pr
0.8971 0.8971 0.3488 Pr
0.0797 0.3566 0.3566 Ho
0.2430 0.5000 0.7570 Ho
0.2430 0.7570 0.5000 Ho
0.3566 0.0797 0.3566 Ho
0.3566 0.3566 0.0797 Ho
0.5000 0.2430 0.7570 Ho
0.5000 0.7570 0.2430 Ho
0.6434 0.6434 0.9203 Ho
0.6434 0.9203 0.6434 Ho
0.7570 0.2430 0.5000 Ho
0.7570 0.5000 0.2430 Ho
0.9203 0.6434 0.6434 Ho
```

Top 12 peaks for 2θ from 10° to 80°, sorted by position:
- 2θ 24.9, intensity 19.2
- 2θ 28.6, intensity 34.5
- 2θ 29.2, intensity 57.1
- 2θ 31.1, intensity 65.9
- 2θ 31.3, intensity 59.2
- 2θ 31.6, intensity 100.0
- 2θ 34.0, intensity 47.0
- 2θ 34.1, intensity 34.5
- 2θ 34.4, intensity 26.5
- 2θ 49.2, intensity 22.9
- 2θ 54.7, intensity 31.6
- 2θ 56.3, intensity 31.9

[2]
Structure and computed powder X-ray diffraction pattern of Sc3B2Rh5 (a structure optimized by DFT (PBE); Cu Ka).

Structure:
```
Sc3B2Rh5
1.0
9.4889 0.0000 0.0000
0.0000 9.4889 0.0000
0.0000 0.0000 3.1266
Sc B Rh
6 4 10
direct
0.0000 0.0000 0.0000 Sc
0.1746 0.3254 0.0000 Sc
0.3254 0.8254 0.0000 Sc
0.5000 0.5000 0.0000 Sc
0.6746 0.1746 0.0000 Sc
0.8254 0.6746 0.0000 Sc
0.1236 0.6236 0.0000 B
0.3764 0.1236 0.0000 B
0.6236 0.8764 0.0000 B
0.8764 0.3764 0.0000 B
0.0000 0.5000 0.5000 Rh
0.0716 0.7773 0.5000 Rh
0.2227 0.0716 0.5000 Rh
0.2773 0.5716 0.5000 Rh
0.4284 0.2773 0.5000 Rh
0.5000 0.0000 0.5000 Rh
0.5716 0.7227 0.5000 Rh
0.7227 0.4284 0.5000 Rh
0.7773 0.9284 0.5000 Rh
0.9284 0.2227 0.5000 Rh
```

Top 12 peaks for 2θ from 10° to 80°, sorted by position:
- 2θ 20.9, intensity 24.5
- 2θ 28.5, intensity 62.6
- 2θ 34.1, intensity 40.4
- 2θ 35.7, intensity 67.2
- 2θ 39.1, intensity 85.0
- 2θ 39.4, intensity 34.5
- 2θ 41.7, intensity 100.0
- 2θ 42.6, intensity 57.5
- 2θ 45.0, intensity 55.2
- 2θ 49.2, intensity 27.4
- 2θ 73.2, intensity 25.1
- 2θ 77.4, intensity 32.5

[3]
Structure and computed powder X-ray diffraction pattern of CaAcPb2O8 (a structure optimized by DFT (PBE); Cu Ka).

Structure:
```
CaAcPb2O8
1.0
-2.9336 2.9336 5.2963
2.9336 -2.9336 5.2963
2.9336 2.9336 -5.2963
Ca Ac Pb O
1 1 2 8
direct
0.0000 0.0000 0.0000 Ca
0.7500 0.2500 0.5000 Ac
0.2500 0.7500 0.5000 Pb
0.5000 0.5000 0.0000 Pb
0.1048 0.6505 0.0536 O
0.1664 0.1904 0.5467 O
0.3495 0.4031 0.4543 O
0.3803 0.8336 0.0239 O
0.5969 0.0512 0.9464 O
0.6436 0.6197 0.4533 O
0.8096 0.3564 0.9761 O
0.9488 0.8952 0.5457 O
```

Top 12 peaks for 2θ from 10° to 80°, sorted by position:
- 2θ 17.3, intensity 16.8
- 2θ 27.3, intensity 100.0
- 2θ 30.5, intensity 24.7
- 2θ 33.8, intensity 10.3
- 2θ 43.6, intensity 19.3
- 2θ 46.2, intensity 31.3
- 2θ 52.2, intensity 34.3
- 2θ 56.3, intensity 11.0
- 2θ 56.7, intensity 13.5
- 2θ 70.4, intensity 7.2
- 2θ 72.0, intensity 6.5
- 2θ 74.1, intensity 12.5

[4]
Structure and computed powder X-ray diffraction pattern of Sm3Co11B4 (a structure optimized by DFT (PBE); Cu Ka).

Structure:
```
Sm3Co11B4
1.0
5.0876 0.0000 0.0000
-2.5438 4.4059 0.0000
0.0000 0.0000 9.7488
Sm Co B
3 11 4
direct
0.0000 0.0000 0.0000 Sm
0.0000 0.0000 0.3418 Sm
0.0000 0.0000 0.6582 Sm
0.0000 0.5000 0.2029 Co
0.0000 0.5000 0.5000 Co
0.0000 0.5000 0.7971 Co
0.3333 0.6667 0.0000 Co
0.5000 0.0000 0.2029 Co
0.5000 0.0000 0.5000 Co
0.5000 0.0000 0.7971 Co
0.5000 0.5000 0.2029 Co
0.5000 0.5000 0.5000 Co
0.5000 0.5000 0.7971 Co
0.6667 0.3333 0.0000 Co
0.3333 0.6667 0.3497 B
0.3333 0.6667 0.6503 B
0.6667 0.3333 0.3497 B
0.6667 0.3333 0.6503 B
```

Top 12 peaks for 2θ from 10° to 80°, sorted by position:
- 2θ 20.2, intensity 20.8
- 2θ 34.3, intensity 100.0
- 2θ 35.3, intensity 29.3
- 2θ 41.0, intensity 95.1
- 2θ 42.4, intensity 8.8
- 2θ 45.3, intensity 93.7
- 2θ 56.6, intensity 9.7
- 2θ 62.7, intensity 34.6
- 2θ 68.5, intensity 11.6
- 2θ 70.3, intensity 24.0
- 2θ 72.3, intensity 15.3
- 2θ 74.6, intensity 23.0

[5]
Structure and computed powder X-ray diffraction pattern of Th6Tl2Tc (a structure optimized by DFT (PBE); Cu Ka).

Structure:
```
Th6Tl2Tc
1.0
8.9457 0.0000 0.0000
-4.4728 7.7472 0.0000
0.0000 0.0000 3.8111
Th Tl Tc
6 2 1
direct
0.0000 0.2433 0.0000 Th
0.0000 0.6085 0.5000 Th
0.2433 0.0000 0.0000 Th
0.3915 0.3915 0.5000 Th
0.6085 0.0000 0.5000 Th
0.7567 0.7567 0.0000 Th
0.3333 0.6667 0.0000 Tl
0.6667 0.3333 0.0000 Tl
0.0000 0.0000 0.5000 Tc
```

Top 12 peaks for 2θ from 10° to 80°, sorted by position:
- 2θ 30.5, intensity 68.7
- 2θ 30.8, intensity 100.0
- 2θ 33.0, intensity 58.2
- 2θ 34.7, intensity 43.2
- 2θ 38.8, intensity 32.4
- 2θ 47.7, intensity 17.0
- 2θ 48.6, intensity 14.4
- 2θ 54.3, intensity 8.2
- 2θ 57.2, intensity 31.9
- 2θ 57.7, intensity 23.8
- 2θ 59.8, intensity 17.2
- 2θ 60.4, intensity 18.0

[6]
Structure and computed powder X-ray diffraction pattern of PbI (a structure optimized by DFT (PBE); Cu Ka).

Structure:
```
PbI
1.0
5.1088 0.0000 0.0000
0.0000 12.7977 0.0000
0.0000 0.0000 7.4831
Pb I
6 6
direct
0.0000 0.0000 0.0000 Pb
0.0000 0.2470 0.4493 Pb
0.0000 0.2530 0.9493 Pb
0.0000 0.5000 0.5000 Pb
0.0000 0.7470 0.9493 Pb
0.0000 0.7530 0.4493 Pb
0.5000 0.0000 0.2459 I
0.5000 0.1620 0.7228 I
0.5000 0.3380 0.2228 I
0.5000 0.5000 0.7459 I
0.5000 0.6620 0.2228 I
0.5000 0.8380 0.7228 I
```

Top 12 peaks for 2θ from 10° to 80°, sorted by position:
- 2θ 13.7, intensity 20.3
- 2θ 22.2, intensity 30.9
- 2θ 24.0, intensity 38.6
- 2θ 27.9, intensity 21.9
- 2θ 29.6, intensity 100.0
- 2θ 29.8, intensity 38.1
- 2θ 33.0, intensity 33.4
- 2θ 35.1, intensity 34.3
- 2θ 37.0, intensity 23.5
- 2θ 41.1, intensity 28.3
- 2θ 43.0, intensity 16.4
- 2θ 51.9, intensity 18.1